Ca2MnO4: simulated X-ray diffraction stick pattern (Cu Kα (λ = 1.5418 Å)), based on a cell relaxed with PBE+U.
Peak positions follow from Bragg's law for the DFT cell and can differ from measured ones.

Principal peaks in the range 10° ≤ 2θ ≤ 80°, most intense first:
- 2.745 Å, 2θ = 32.62°, I 100.0, hkl 1 1 6
- 2.626 Å, 2θ = 34.15°, I 98.4, hkl 2 0 0
- 1.857 Å, 2θ = 49.07°, I 52.9, hkl 2 2 0
- 2.040 Å, 2θ = 44.42°, I 52.0, hkl 0 0 12
- 6.115 Å, 2θ = 14.49°, I 48.4, hkl 0 0 4
- 1.538 Å, 2θ = 60.17°, I 40.5, hkl 3 1 6
- 1.373 Å, 2θ = 68.32°, I 38.2, hkl 2 2 12
- 1.610 Å, 2θ = 57.22°, I 29.9, hkl 2 0 12
- 1.313 Å, 2θ = 71.92°, I 12.4, hkl 4 0 0
- 1.992 Å, 2θ = 45.54°, I 11.5, hkl 2 0 8

Cell and atoms:
```
data_Ca2MnO4
_cell_length_a 5.251
_cell_length_b 5.251
_cell_length_c 24.458
_cell_angle_alpha 90.00
_cell_angle_beta 90.00
_cell_angle_gamma 90.00
_space_group_name_H-M_alt 'I 41/a c d'
_space_group_IT_number 142
loop_
_space_group_symop_operation_xyz
'x,y,z'
'-x,-y,-z'
'-y+1/4,x+3/4,z+1/4'
'y+1/4,-x+3/4,-z+1/4'
'-x+1/2,-y,z+1/2'
'x+1/2,y,-z+1/2'
'y+1/4,-x+1/4,z+3/4'
'-y+1/4,x+1/4,-z+3/4'
'x,-y,-z+1/2'
'-x,y,z+1/2'
'-y+1/4,-x+1/4,-z+1/4'
'y+1/4,x+1/4,z+1/4'
'-x+1/2,y,-z'
'x+1/2,-y,z'
'y+1/4,x+3/4,-z+3/4'
'-y+1/4,-x+3/4,z+3/4'
'x+1/2,y+1/2,z+1/2'
'-x+1/2,-y+1/2,-z+1/2'
'-y+3/4,x+1/4,z+3/4'
'y+3/4,-x+1/4,-z+3/4'
'-x,-y+1/2,z'
'x,y+1/2,-z'
'y+3/4,-x+3/4,z+1/4'
'-y+3/4,x+3/4,-z+1/4'
'x+1/2,-y+1/2,-z'
'-x+1/2,y+1/2,z'
'-y+3/4,-x+3/4,-z+3/4'
'y+3/4,x+3/4,z+3/4'
'-x,y+1/2,-z+1/2'
'x,-y+1/2,z+1/2'
'y+3/4,x+1/4,-z+1/4'
'-y+3/4,-x+1/4,z+1/4'
loop_
_atom_site_label
_atom_site_fract_x
_atom_site_fract_y
_atom_site_fract_z
Ca1 0.000 0.250 0.050
Mn1 0.000 0.250 0.375
O1 0.000 0.250 0.294
O2 0.196 0.054 0.125
```